No. 1
Structure and calculated X-ray powder pattern of Ac6La3Tb2 (a PBE-relaxed structure; a wavelength of 1.5418 Å).
Peak positions follow from Bragg's law for the DFT cell and can differ from measured ones.

Peak list (8 most intense, 2θ from 10° to 90°, sorted by position)
2θ 28.4, I 1000, hkl 0 2 1; 2θ 32.8, I 343, hkl 2 1 0; 2θ 33.0, I 170, hkl 1 -3 1; 2θ 47.1, I 190, hkl 1 1 3; 2θ 47.2, I 126, hkl 1 4 -1; 2θ 55.9, I 153, hkl 2 3 1; 2θ 56.0, I 225, hkl 1 -5 0; 2θ 58.7, I 100, hkl 0 4 2

Structure:
Lattice parameters (Å, degrees): 6.6836 8.5942 8.6035 107.29 104.89 97.39
Space group P-1 (No. 2)
Symmetry-distinct sites (fractional):
Ac 0.0530 0.4027 0.1809 x2
Ac 0.1357 0.2296 0.5489 x2
Ac 0.3220 0.8687 0.2652 x2
La 0.4065 0.6840 0.6432 x2
La 0.5000 0.5000 0.0000 x1
Tb 0.2311 0.0449 0.9127 x2

---

No. 2
Structure and calculated X-ray powder pattern of Ac6La2Tb5 (a PBE-relaxed structure; a wavelength of 1.5418 Å).
Peak positions follow from Bragg's law for the DFT cell and can differ from measured ones.

Peak list (8 most intense, 2θ from 10° to 90°, sorted by position)
2θ 27.4, I 308, hkl 2 0 1; 2θ 28.9, I 609, hkl 4 1 0; 2θ 29.6, I 331, hkl 1 4 1; 2θ 29.9, I 441, hkl 3 5 0; 2θ 30.0, I 638, hkl 1 7 0; 2θ 30.1, I 1000, hkl 2 3 1; 2θ 32.1, I 534, hkl 2 4 1; 2θ 47.6, I 277, hkl 0 0 2

Structure:
Lattice parameters (Å, degrees): 12.4885 21.4651 3.8214 90.00 90.00 90.00
Space group Pbam (No. 55)
Symmetry-distinct sites (fractional):
Ac 0.0454 0.0819 0.0000 x4
Ac 0.0821 0.3664 0.0000 x4
Ac 0.1842 0.6246 0.5000 x4
La 0.1645 0.7829 0.0000 x4
Tb 0.0000 0.5000 0.5000 x2
Tb 0.0920 0.2255 0.5000 x4
Tb 0.2061 0.9469 0.5000 x4

---

No. 3
Structure and calculated X-ray powder pattern of Ac2La3Tb4 (a PBE-relaxed structure; a wavelength of 1.5418 Å).
Peak positions follow from Bragg's law for the DFT cell and can differ from measured ones.

Peak list (8 most intense, 2θ from 10° to 90°, sorted by position)
2θ 29.4, I 185, hkl 2 1 1; 2θ 29.6, I 317, hkl 2 3 0; 2θ 29.8, I 192, hkl 1 4 1; 2θ 30.8, I 506, hkl 0 0 2; 2θ 31.0, I 1000, hkl 2 2 1; 2θ 32.0, I 632, hkl 0 5 1; 2θ 43.3, I 229, hkl 2 3 2; 2θ 54.9, I 202, hkl 2 2 3

Structure:
Lattice parameters (Å, degrees): 7.3265 15.9753 5.8039 90.00 90.00 90.00
Space group Pnnm (No. 58)
Symmetry-distinct sites (fractional):
Ac 0.1658 0.0946 0.0000 x4
La 0.0000 0.5000 0.0000 x2
La 0.1028 0.8369 0.5000 x4
Tb 0.0905 0.7073 0.0000 x4
Tb 0.1359 0.3778 0.5000 x4

---

No. 4
Structure and calculated X-ray powder pattern of Ac12La5Tb2 (a PBE-relaxed structure; a wavelength of 1.5418 Å).
Peak positions follow from Bragg's law for the DFT cell and can differ from measured ones.

Peak list (8 most intense, 2θ from 10° to 90°, sorted by position)
2θ 25.5, I 291, hkl 5 1 -1; 2θ 27.5, I 236, hkl 1 1 -2; 2θ 28.3, I 593, hkl 0 4 0; 2θ 28.7, I 171, hkl 6 0 -1; 2θ 29.5, I 1000, hkl 4 2 1; 2θ 30.3, I 439, hkl 2 2 -2; 2θ 32.1, I 298, hkl 6 2 -1; 2θ 50.8, I 265, hkl 4 6 1

Structure:
Lattice parameters (Å, degrees): 19.2617 12.6214 6.7321 90.00 103.22 90.00
Space group C2/m (No. 12)
Symmetry-distinct sites (fractional):
Ac 0.0581 0.0000 0.2726 x4
Ac 0.1014 0.2484 0.6292 x8
Ac 0.1098 0.5000 0.0069 x4
Ac 0.1956 0.2407 0.2036 x8
La 0.0000 0.5000 0.5000 x2
La 0.1852 0.0000 0.8576 x4
La 0.2112 0.5000 0.5602 x4
Tb 0.0000 0.2619 0.0000 x4